Fe4O3F5: theoretical X-ray diffraction stick pattern (copper Kα), based on a PBE+U-relaxed structure.
No peak broadening, texture or thermal motion is included.

Most intense lines, 10° ≤ 2θ ≤ 80°, sorted by position:
25.7 deg, rel. 987
26.9 deg, rel. 846
34.2 deg, rel. 1000
38.8 deg, rel. 183
51.0 deg, rel. 584
52.4 deg, rel. 226
52.4 deg, rel. 246
59.0 deg, rel. 195
65.6 deg, rel. 159
65.8 deg, rel. 187

Structure:
Cell: 5.732 5.732 9.568 Å, 92.17 92.17 66.27°
Positions (direct):
Fe: 0.000 0.500 0.000
Fe: 0.000 0.500 0.500
Fe: 0.017 0.017 0.272
Fe: 0.465 0.465 0.757
Fe: 0.500 0.000 0.000
Fe: 0.500 0.000 0.500
Fe: 0.535 0.535 0.243
Fe: 0.983 0.983 0.728
O: 0.134 0.657 0.642
O: 0.337 0.337 0.923
O: 0.343 0.866 0.358
O: 0.657 0.134 0.642
O: 0.663 0.663 0.077
O: 0.866 0.343 0.358
F: 0.137 0.675 0.153
F: 0.150 0.150 0.105
F: 0.156 0.156 0.606
F: 0.325 0.863 0.847
F: 0.347 0.347 0.406
F: 0.653 0.653 0.594
F: 0.675 0.137 0.153
F: 0.844 0.844 0.394
F: 0.850 0.850 0.895
F: 0.863 0.325 0.847